Calculated powder XRD pattern of NdEr3Ir8 for Cu Kα (λ = 1.5418 Å), from a structure optimized by DFT (PBE).
Neutral-atom scattering factors, no anomalous dispersion.

Top 6 peaks for 5° ≤ 2θ ≤ 70°, low angle first:
hkl 0 1 2, 4.381 Å, 2θ = 20.3°, I 11; hkl 1 1 0, 2.683 Å, 2θ = 33.4°, I 22; hkl 2 0 2, 2.288 Å, 2θ = 39.4°, I 100; hkl 0 2 4, 2.191 Å, 2θ = 41.2°, I 46; hkl 3 0 0, 1.549 Å, 2θ = 59.7°, I 8; hkl 3 0 6, 1.460 Å, 2θ = 63.7°, I 33

Cell and atoms:
```
data_NdEr3Ir8
_cell_length_a 5.3670
_cell_length_b 5.3670
_cell_length_c 26.2776
_cell_angle_alpha 90.00
_cell_angle_beta 90.00
_cell_angle_gamma 120.00
_symmetry_space_group_name_H-M 'R 3 m'
_symmetry_Int_Tables_number 160
_symmetry_space_group_name_Hall 'R 3 -2"'
loop_
_atom_site_label
_atom_site_type_symbol
_atom_site_fract_x
_atom_site_fract_y
_atom_site_fract_z
Nd1 Nd 0.0000 0.0000 0.0000
Er1 Er 0.0000 0.0000 0.1254
Er2 Er 0.0000 0.0000 0.4995
Er3 Er 0.0000 0.0000 0.6240
Ir1 Ir 0.0000 0.0000 0.3122
Ir2 Ir 0.0000 0.0000 0.8123
Ir3 Ir 0.0006 0.5003 0.0633
Ir4 Ir 0.1673 0.3345 0.8947
```